1.
Theoretical X-ray diffraction stick pattern
Compound: CoB4Pb
Radiation: Cu Kα, 1.54184 Å
Structure: a structure optimized by DFT (PBE)

Largest 10 diffraction maxima, by intensity, 10 to 90 degrees two-theta:
40.63 deg, 2.220 Å, rel. 100
33.94 deg, 2.642 Å, rel. 68
21.69 deg, 4.098 Å, rel. 67
10.80 deg, 8.195 Å, rel. 66
35.71 deg, 2.514 Å, rel. 43
56.87 deg, 1.619 Å, rel. 37
65.28 deg, 1.429 Å, rel. 21
60.72 deg, 1.525 Å, rel. 17
75.65 deg, 1.257 Å, rel. 16
47.90 deg, 1.899 Å, rel. 14

Cell and atoms:
```
6
Lattice="3.050 0.000 0.000 -1.525 2.642 0.000 0.000 0.000 8.195" Properties=species:S:1:pos:R:3 pbc="T T T"
Co 0.000 0.000 0.000
B 0.000 1.761 1.365
B 0.000 1.761 6.830
B 1.525 0.881 1.365
B 1.525 0.881 6.830
Pb 0.000 0.000 4.098
```



2.
Theoretical X-ray diffraction stick pattern
Compound: LaZnInS3
Radiation: Cu Kα, 1.54184 Å
Structure: a structure optimized by DFT (PBE)

Largest 10 diffraction maxima, by intensity, 10 to 90 degrees two-theta:
33.16 deg, 2.701 Å, rel. 100
30.05 deg, 2.973 Å, rel. 97
20.40 deg, 4.354 Å, rel. 72
27.67 deg, 3.224 Å, rel. 57
32.13 deg, 2.785 Å, rel. 50
12.69 deg, 6.978 Å, rel. 46
41.48 deg, 2.177 Å, rel. 45
25.53 deg, 3.489 Å, rel. 42
43.93 deg, 2.061 Å, rel. 33
42.34 deg, 2.135 Å, rel. 32

Cell and atoms:
```
12
Lattice="2.061 -6.978 0.000 2.061 6.978 0.000 0.000 0.000 11.142" Properties=species:S:1:pos:R:3 pbc="T T T"
La 0.000 0.000 0.000
La 0.000 0.000 5.571
Zn 2.061 0.521 8.356
Zn 2.061 -0.521 2.785
In 2.061 3.488 2.785
In 2.061 -3.488 8.356
S 2.061 6.127 8.356
S 2.061 1.811 6.422
S 2.061 1.811 10.291
S 2.061 -1.811 0.851
S 2.061 -1.811 4.720
S 2.061 -6.127 2.785
```



Which formula does entry 1 have? CoB4Pb



Number 2 is which compound? LaZnInS3